Calculated X-ray powder pattern of Pr2CrHgO6 for copper Kα, from a structure optimized by DFT (GGA+U).

Structure:
Unit cell a=5.4639 b=5.4639 c=5.1914 alpha=90.00 beta=90.00 gamma=90.00
Space group P4mm (No. 99)
One atom of each set of equivalent atoms:
Pr 0.0000 0.5000 0.0000 [2 per cell]
Cr 0.0000 0.0000 0.6069 [1 per cell]
Hg 0.5000 0.5000 0.5237 [1 per cell]
O 0.0000 0.0000 0.2561 [1 per cell]
O 0.2308 0.2308 0.7383 [4 per cell]
O 0.5000 0.5000 0.1155 [1 per cell]

Principal peaks in the range 10° ≤ 2θ ≤ 80°, most intense first:
hkl 1 1 1, 28.80°, I 100
hkl 2 0 0, 32.78°, I 35
hkl 3 1 1, 56.10°, I 31
hkl 2 0 2, 48.37°, I 27
hkl 2 2 0, 47.04°, I 19
hkl 4 2 0, 78.20°, I 16
hkl 1 0 0, 16.22°, I 13
hkl 1 0 1, 23.64°, I 12
hkl 1 1 3, 58.44°, I 11
hkl 0 0 2, 34.55°, I 11